# MgFe12O12F12
Calculated XRD peak list, Cu Kα (λ = 1.5418 Å). Input: DFT lattice parameters and positions (PBE+U).
No peak broadening, texture or thermal motion is included.

The 12 most intense peaks (2θ from 15° to 90°), low angle first:
d [Å], Rel. int.
3.478, 100.0
3.421, 97.3
2.620, 70.5
2.611, 50.1
2.314, 33.0
1.796, 24.4
1.787, 34.6
1.780, 24.8
1.772, 33.0
1.710, 23.9
1.549, 25.7
1.433, 23.9

Cell: 9.8140 3.0988 14.5489 Å, 90.00 90.95 90.00°
Element x y z (fractional)
Mg  0.0000  0.0000  0.0000
Fe  0.2463  0.5000  0.3467
Fe  0.2782  0.5000  0.6755
Fe  0.2911  0.5000  0.0104
Fe  0.4831  0.0000  0.8421
Fe  0.4959  0.0000  0.1737
Fe  0.5027  0.0000  0.5252
Fe  0.7314  0.5000  0.0318
Fe  0.7430  0.5000  0.6687
Fe  0.7548  0.5000  0.3482
Fe  0.9671  0.0000  0.1916
Fe  0.9754  0.0000  0.5062
Fe  0.9819  0.0000  0.7392
O  0.1678  0.0000  0.7279
O  0.3521  0.0000  0.6056
O  0.3565  0.0000  0.9460
O  0.4068  0.5000  0.1189
O  0.4149  0.5000  0.7783
O  0.6039  0.5000  0.5752
O  0.6518  0.0000  0.0906
O  0.8234  0.0000  0.2849
O  0.8608  0.0000  0.6234
O  0.8867  0.5000  0.7753
O  0.8887  0.5000  0.4504
O  0.9193  0.5000  0.0851
F  0.0871  0.5000  0.5694
F  0.0923  0.5000  0.2458
F  0.0951  0.5000  0.9389
F  0.1410  0.0000  0.4150
F  0.1715  0.0000  0.0761
F  0.3508  0.0000  0.2801
F  0.4098  0.5000  0.4462
F  0.5834  0.5000  0.2540
F  0.5950  0.5000  0.9138
F  0.6393  0.0000  0.4113
F  0.6503  0.0000  0.7424
F  0.8152  0.0000  0.9480

# MgFe12O12F12
Calculated XRD peak list, Cu Kα (λ = 1.5418 Å). Input: DFT lattice parameters and positions (PBE+U).
No peak broadening, texture or thermal motion is included.

The 12 most intense peaks (2θ from 15° to 90°), low angle first:
d [Å], Rel. int.
3.440, 100.0
3.421, 93.0
2.621, 54.8
2.594, 27.6
2.587, 24.6
2.293, 21.4
1.790, 14.9
1.776, 16.5
1.766, 27.7
1.761, 16.0
1.720, 17.2
1.544, 17.8

Cell: 3.0895 9.7407 14.5002 Å, 89.67 89.23 89.31°
Element x y z (fractional)
Mg  0.0000  0.0000  0.0000
Fe  0.3893  0.7243  0.6772
Fe  0.4054  0.2479  0.6636
Fe  0.4066  0.7228  0.3261
Fe  0.4128  0.2623  0.3320
Fe  0.4239  0.7249  0.9891
Fe  0.4505  0.2659  0.9762
Fe  0.8250  0.9554  0.8217
Fe  0.9022  0.4587  0.5009
Fe  0.9016  0.9804  0.4994
Fe  0.9058  0.9654  0.1880
Fe  0.9119  0.4730  0.8140
Fe  0.9245  0.4871  0.1791
O  0.3459  0.8887  0.7566
O  0.4079  0.3909  0.4331
O  0.4144  0.9288  0.1043
O  0.4158  0.3774  0.7625
O  0.4177  0.5764  0.2367
O  0.4906  0.0797  0.9198
O  0.8921  0.6305  0.7257
O  0.9049  0.8330  0.9294
O  0.9064  0.8223  0.2748
O  0.9067  0.3227  0.5979
O  0.9157  0.3266  0.2626
O  0.9451  0.3534  0.9285
F  0.3988  0.5776  0.5607
F  0.4005  0.8744  0.4321
F  0.4029  0.0781  0.5695
F  0.4061  0.0771  0.2498
F  0.4132  0.5767  0.8840
F  0.4354  0.4000  0.0995
F  0.8900  0.8164  0.5969
F  0.8917  0.1324  0.7304
F  0.9044  0.6355  0.4036
F  0.9047  0.1444  0.3975
F  0.9415  0.6321  0.0712
F  0.9479  0.1729  0.0681